Entry 1:
This entry pairs a crystal structure of CuP4S3Br with its computed XRD peak list. Radiation: a wavelength of 1.5418 Å. Structure: DFT lattice parameters and positions (PBE).

The 8 most intense peaks (15 to 90 degrees two-theta), in order of rising 2θ:
2θ 17.14, 5.173 Å, I 27.7; 2θ 18.62, 4.766 Å, I 100.0; 2θ 23.92, 3.721 Å, I 21.9; 2θ 28.76, 3.104 Å, I 63.7; 2θ 29.86, 2.992 Å, I 30.9; 2θ 31.57, 2.834 Å, I 24.1; 2θ 33.31, 2.690 Å, I 27.8; 2θ 45.48, 1.994 Å, I 24.4

abc: 7.7701 22.2917 10.3455
angles: 90.00 90.00 90.00
Space group Cmce (No. 64)
One atom of each set of equivalent atoms:
Cu: 0.1921 0.0000 0.0000 x8
P: 0.0000 0.1185 0.2836 x8
P: 0.0000 0.2157 0.5291 x8
P: 0.1443 0.0815 0.4584 x16
S: 0.0000 0.2111 0.3234 x8
S: 0.2090 0.1570 0.5686 x16
Br: 0.0000 0.0281 0.8193 x8

Entry 2:
This entry pairs a crystal structure of Cu2Ag3 with its computed XRD peak list. Radiation: a wavelength of 1.5418 Å. Structure: DFT lattice parameters and positions (PBE).

The 8 most intense peaks (15 to 90 degrees two-theta), in order of rising 2θ:
2θ 39.28, 2.294 Å, I 50.4; 2θ 39.41, 2.286 Å, I 100.0; 2θ 39.63, 2.274 Å, I 47.5; 2θ 45.17, 2.007 Å, I 66.5; 2θ 47.20, 1.926 Å, I 27.7; 2θ 67.15, 1.394 Å, I 18.4; 2θ 67.63, 1.385 Å, I 16.8; 2θ 79.32, 1.208 Å, I 23.0

abc: 4.8036 2.8410 11.4275
angles: 90.00 95.67 90.00
Space group P2_1/m (No. 11)
One atom of each set of equivalent atoms:
Cu: 0.0515 0.2500 0.4087 x2
Cu: 0.3499 0.7500 0.7976 x2
Ag: 0.1427 0.7500 0.2108 x2
Ag: 0.2517 0.2500 0.9966 x2
Ag: 0.4336 0.2500 0.6024 x2

Entry 3:
This entry pairs a crystal structure of TaNbCo2Ge2 with its computed XRD peak list. Radiation: a wavelength of 1.5418 Å. Structure: DFT lattice parameters and positions (PBE).

The 8 most intense peaks (15 to 90 degrees two-theta), in order of rising 2θ:
2θ 27.07, 3.293 Å, I 27.2; 2θ 31.36, 2.852 Å, I 40.6; 2θ 44.95, 2.017 Å, I 100.0; 2θ 53.26, 1.720 Å, I 12.1; 2θ 55.83, 1.647 Å, I 10.8; 2θ 65.45, 1.426 Å, I 15.8; 2θ 74.37, 1.276 Å, I 14.1; 2θ 82.92, 1.164 Å, I 32.3

abc: 8.0672 4.0332 12.1021
angles: 90.00 109.47 90.00
Space group Pm (No. 6)
One atom of each set of equivalent atoms:
Ta: 0.0000 0.0000 0.0000 x1
Ta: 0.1251 0.5000 0.7498 x1
Ta: 0.5002 0.0000 0.0000 x1
Ta: 0.7499 0.0000 0.4999 x1
Nb: 0.2501 0.0000 0.4998 x1
Nb: 0.3749 0.5000 0.2500 x1
Nb: 0.6249 0.5000 0.7498 x1
Nb: 0.8752 0.5000 0.2500 x1
Co: 0.0625 0.5000 0.1248 x1
Co: 0.1875 0.0000 0.8749 x1
Co: 0.3125 0.5000 0.6249 x1
Co: 0.4376 0.0000 0.3749 x1
Co: 0.5625 0.5000 0.1249 x1
Co: 0.6875 0.0000 0.8749 x1
Co: 0.8126 0.5000 0.6250 x1
Co: 0.9375 0.0000 0.3750 x1
Ge: 0.9998 0.5000 0.5001 x1
Ge: 0.1249 0.0000 0.2497 x1
Ge: 0.2500 0.5000 0.9998 x1
Ge: 0.3748 0.0000 0.7500 x1
Ge: 0.5004 0.5000 0.4999 x1
Ge: 0.6251 0.0000 0.2500 x1
Ge: 0.7500 0.5000 0.9999 x1
Ge: 0.8754 0.0000 0.7499 x1

Entry 4:
This entry pairs a crystal structure of Ta4Co with its computed XRD peak list. Radiation: a wavelength of 1.5418 Å. Structure: DFT lattice parameters and positions (PBE).

The 8 most intense peaks (15 to 90 degrees two-theta), in order of rising 2θ:
2θ 37.62, 2.391 Å, I 100.0; 2θ 38.55, 2.335 Å, I 25.3; 2θ 38.75, 2.324 Å, I 45.9; 2θ 39.67, 2.272 Å, I 83.3; 2θ 41.42, 2.180 Å, I 83.9; 2θ 42.47, 2.128 Å, I 45.7; 2θ 42.85, 2.110 Å, I 25.5; 2θ 65.69, 1.421 Å, I 21.0

abc: 9.8593 9.8593 5.3030
angles: 90.00 90.00 90.00
Space group P4_2/mnm (No. 136)
One atom of each set of equivalent atoms:
Ta: 0.0384 0.3629 0.0000 x8
Ta: 0.0659 0.2567 0.5000 x8
Ta: 0.1761 0.8239 0.2469 x8
Co: 0.0000 0.0000 0.5000 x2
Co: 0.1104 0.1104 0.0000 x4

Entry 5:
This entry pairs a crystal structure of Y2CuAgSn2 with its computed XRD peak list. Radiation: a wavelength of 1.5418 Å. Structure: DFT lattice parameters and positions (PBE).

The 8 most intense peaks (15 to 90 degrees two-theta), in order of rising 2θ:
2θ 23.27, 3.822 Å, I 24.8; 2θ 26.97, 3.306 Å, I 13.6; 2θ 38.46, 2.341 Å, I 100.0; 2θ 45.48, 1.994 Å, I 8.3; 2θ 55.60, 1.653 Å, I 11.2; 2θ 69.46, 1.353 Å, I 11.2; 2θ 69.62, 1.350 Å, I 22.5; 2θ 82.34, 1.171 Å, I 7.0

abc: 8.1184 4.6746 15.5194
angles: 90.00 99.82 90.00
Space group Pm (No. 6)
One atom of each set of equivalent atoms:
Y: 0.0000 0.0000 0.0000 x1
Y: 0.0057 0.5000 0.4942 x1
Y: 0.2395 0.0000 0.7399 x1
Y: 0.2475 0.5000 0.2440 x1
Y: 0.4867 0.0000 0.4881 x1
Y: 0.4996 0.5000 0.9999 x1
Y: 0.7452 0.0000 0.2402 x1
Y: 0.7555 0.5000 0.7419 x1
Cu: 0.0611 0.5000 0.6792 x1
Cu: 0.0616 0.0000 0.1842 x1
Cu: 0.3083 0.5000 0.4287 x1
Cu: 0.5594 0.5000 0.1837 x1
Ag: 0.3097 0.0000 0.9312 x1
Ag: 0.5589 0.0000 0.6787 x1
Ag: 0.8094 0.0000 0.4299 x1
Ag: 0.8112 0.5000 0.9323 x1
Sn: 0.1224 0.5000 0.8651 x1
Sn: 0.1257 0.0000 0.3659 x1
Sn: 0.3660 0.5000 0.6144 x1
Sn: 0.3730 0.0000 0.1236 x1
Sn: 0.6150 0.5000 0.3656 x1
Sn: 0.6223 0.0000 0.8685 x1
Sn: 0.8752 0.5000 0.1241 x1
Sn: 0.8784 0.0000 0.6185 x1

Entry 6:
This entry pairs a crystal structure of GdAgPbSe3 with its computed XRD peak list. Radiation: a wavelength of 1.5418 Å. Structure: DFT lattice parameters and positions (PBE).

The 8 most intense peaks (15 to 90 degrees two-theta), in order of rising 2θ:
2θ 27.25, 3.273 Å, I 48.3; 2θ 31.47, 2.843 Å, I 100.0; 2θ 32.02, 2.795 Å, I 51.4; 2θ 34.51, 2.599 Å, I 86.5; 2θ 35.13, 2.555 Å, I 89.9; 2θ 35.52, 2.527 Å, I 30.5; 2θ 43.55, 2.078 Å, I 54.8; 2θ 44.78, 2.024 Å, I 34.5

abc: 7.8487 4.1563 10.1235
angles: 90.00 105.80 90.00
Space group P2_1/m (No. 11)
One atom of each set of equivalent atoms:
Gd: 0.1959 0.2500 0.1599 x2
Ag: 0.4094 0.7500 0.4078 x2
Pb: 0.2383 0.7500 0.7007 x2
Se: 0.0716 0.2500 0.8626 x2
Se: 0.2087 0.2500 0.4561 x2
Se: 0.4508 0.7500 0.1585 x2